Calculated PXRD pattern
Compound: Li2TmAlSe4
Radiation: Cu Kα (weighted mean of Kα1 and Kα2)
Structure: a PBE-relaxed structure
Intensities are scaled so that the largest is 100.

Crystal structure
a b c (Å): 7.800 7.800 7.800
angles (deg): 121.38 118.66 89.99
Sites, in units of the cell vectors:
Li1 0.000 0.000 0.000
Li2 0.500 0.000 0.000
Li3 0.500 0.000 0.500
Li4 0.500 0.500 0.500
Tm1 0.000 0.500 0.500
Tm2 0.500 0.500 0.000
Al1 0.000 0.000 0.500
Al2 0.000 0.500 0.000
Se1 0.220 0.245 0.975
Se2 0.230 0.755 0.475
Se3 0.244 0.237 0.493
Se4 0.244 0.751 0.007
Se5 0.756 0.249 0.993
Se6 0.756 0.763 0.507
Se7 0.770 0.245 0.525
Se8 0.780 0.755 0.025

Peak list (6 most intense, 10° ≤ 2θ ≤ 90°, by angle)
- 14.10°, intensity 41
- 26.52°, intensity 23
- 32.49°, intensity 100
- 35.25°, intensity 13
- 46.60°, intensity 47
- 77.42°, intensity 20